This entry pairs a crystal structure of CeMg6Cr with its computed PXRD pattern. Radiation: Cu Kα (λ = 1.5418 Å). Structure: a DFT-relaxed cell (PBE, the Materials Project).

Atomic structure:
a b c (Å): 5.035 6.522 11.412
angles (deg): 90.00 90.00 90.00
Space group Amm2 (No. 38)
Inequivalent atoms, fractional coordinates:
Ce1 0.000 0.000 0.000 (multiplicity 2)
Mg1 0.000 0.000 0.516 (multiplicity 2)
Mg2 0.000 0.239 0.756 (multiplicity 4)
Mg3 0.500 0.000 0.345 (multiplicity 2)
Mg4 0.500 0.241 0.601 (multiplicity 4)
Cr1 0.500 0.000 0.845 (multiplicity 2)

Top 12 peaks for 2θ = 10–80°, by intensity:
two_theta, I_rel, h k l
36.4, 100, 1 2 2
15.6, 81, 0 1 1
23.6, 68, 1 0 2
36.2, 62, 1 0 4
35.7, 38, 2 0 0
31.6, 37, 0 2 2
32.5, 32, 1 1 3
15.5, 24, 0 0 2
48.4, 22, 2 2 2
39.1, 22, 2 1 1
68.2, 20, 2 2 6
56.0, 18, 0 2 6